Calculated XRD peak list
Compound: BaTaVO6
Radiation: CuKα
Structure: DFT lattice parameters and positions (PBE+U)
Neutral-atom scattering factors, no anomalous dispersion.

Structural model:
Cell lengths 5.260, 5.260, 5.767 Å; angles 90.00, 90.00, 120.00 degrees
Fractional coordinates of all 9 atoms:
Ba 0.000 0.000 0.000
Ta 0.667 0.333 0.465
V 0.333 0.667 0.533
O 0.009 0.405 0.692
O 0.014 0.616 0.306
O 0.384 0.398 0.306
O 0.396 0.991 0.692
O 0.595 0.604 0.692
O 0.602 0.986 0.306

Main lines, most intense first (2θ from 10° to 80°):
| two_theta | I_rel |
| --- | --- |
| 24.9 | 100 |
| 46.8 | 34 |
| 34.1 | 29 |
| 55.7 | 22 |
| 42.7 | 21 |
| 19.5 | 13 |
| 15.4 | 12 |
| 51.6 | 12 |



Calculated XRD peak list
Compound: VOF
Radiation: CuKα
Structure: DFT lattice parameters and positions (PBE+U)
Neutral-atom scattering factors, no anomalous dispersion.

Structural model:
Cell lengths 12.509, 4.721, 4.721 Å; angles 90.24, 90.00, 90.00 degrees
Fractional coordinates of all 24 atoms:
V 0.000 0.000 0.000
V 0.124 0.560 0.499
V 0.250 0.053 0.066
V 0.376 0.560 0.499
V 0.500 0.000 0.000
V 0.624 0.499 0.560
V 0.750 0.066 0.053
V 0.876 0.499 0.560
O 0.000 0.711 0.711
O 0.124 0.847 0.211
O 0.250 0.356 0.338
O 0.376 0.847 0.211
O 0.500 0.711 0.711
O 0.624 0.211 0.847
O 0.750 0.338 0.356
O 0.876 0.211 0.847
F 0.000 0.320 0.320
F 0.126 0.238 0.819
F 0.250 0.764 0.718
F 0.374 0.238 0.819
F 0.500 0.320 0.320
F 0.626 0.819 0.238
F 0.750 0.718 0.764
F 0.874 0.819 0.238

Main lines, most intense first (2θ from 10° to 80°):
| two_theta | I_rel |
| --- | --- |
| 34.4 | 100 |
| 26.8 | 98 |
| 26.6 | 98 |
| 52.2 | 56 |
| 52.3 | 56 |
| 39.5 | 53 |
| 66.5 | 41 |
| 59.1 | 24 |